For Li2Ho3Cd5, a PBE-relaxed structure gives the theoretical XRD peak list in this record (λ = 1.5418 Å (Cu Kα)).

Peak list (10 most intense, 10° ≤ 2θ ≤ 90°, by intensity)
34.74°, 2.583 Å, rel. 100, (3 1 1); 28.77°, 3.103 Å, rel. 70, (2 1 1); 35.54°, 2.526 Å, rel. 57, (4 1 0); 32.47°, 2.758 Å, rel. 48, (2 2 1); 43.48°, 2.081 Å, rel. 28, (0 0 2); 57.37°, 1.606 Å, rel. 28, (4 1 2); 38.67°, 2.329 Å, rel. 24, (4 2 0); 37.92°, 2.373 Å, rel. 23, (3 2 1); 59.57°, 1.552 Å, rel. 17, (4 2 2); 67.46°, 1.388 Å, rel. 15, (7 1 1)

Structure:
Unit cell a=10.414 b=10.414 c=4.162 alpha=90.00 beta=90.00 gamma=90.00
Element x y z (fractional)
Li: 0.115 0.385 0.000
Li: 0.385 0.885 0.000
Li: 0.615 0.115 0.000
Li: 0.885 0.615 0.000
Ho: 0.000 0.000 0.000
Ho: 0.179 0.679 0.000
Ho: 0.321 0.179 0.000
Ho: 0.500 0.500 0.000
Ho: 0.679 0.821 0.000
Ho: 0.821 0.321 0.000
Cd: 0.000 0.500 0.500
Cd: 0.062 0.216 0.500
Cd: 0.216 0.938 0.500
Cd: 0.284 0.438 0.500
Cd: 0.438 0.716 0.500
Cd: 0.500 0.000 0.500
Cd: 0.562 0.284 0.500
Cd: 0.716 0.562 0.500
Cd: 0.784 0.062 0.500
Cd: 0.938 0.784 0.500